# 1
Diffraction record for Sr4Al6CrO16. The powder diffraction line list is calculated, not measured: it uses a crystal structure in the Materials Project, relaxed with PBE+U and CuKα.
Peak positions follow from Bragg's law for the DFT cell and can differ from measured ones.

abc: 8.2663 8.2663 8.2663
angles: 109.59 109.59 109.24
Positions (direct):
Sr 0.2439 0.2439 0.4879
Sr 0.2439 0.7561 0.0000
Sr 0.7561 0.2439 0.0000
Sr 0.7561 0.7561 0.5121
Al 0.0000 0.0000 0.0000
Al 0.0026 0.2521 0.7505
Al 0.5000 0.5000 0.0000
Al 0.5016 0.2521 0.2495
Al 0.7479 0.4984 0.7505
Al 0.7479 0.9974 0.2495
Cr 0.2500 0.7500 0.5000
O 0.1480 0.5052 0.3571
O 0.1480 0.7909 0.6429
O 0.2091 0.8520 0.3571
O 0.2511 0.0944 0.1567
O 0.2508 0.4129 0.8379
O 0.4948 0.8520 0.6429
O 0.5751 0.4129 0.1621
O 0.5871 0.4249 0.8379
O 0.5871 0.7492 0.1621
O 0.5898 0.0898 0.1796
O 0.5898 0.4102 0.5000
O 0.9056 0.0624 0.1567
O 0.9056 0.7489 0.8433
O 0.9102 0.0898 0.5000
O 0.9102 0.4102 0.8204
O 0.9376 0.0944 0.8433

Top 10 peaks for 2θ = 15–90°, by intensity:
2θ (°), I_rel
26.41, 100
22.82, 98
32.49, 76
18.59, 51
46.65, 43
37.75, 41
42.39, 38
64.87, 26
46.54, 24
54.33, 24

# 2
Diffraction record for KCaNi2H3Se2O10. The powder diffraction line list is calculated, not measured: it uses a crystal structure in the Materials Project, relaxed with PBE+U and CuKα.
Peak positions follow from Bragg's law for the DFT cell and can differ from measured ones.

abc: 5.7045 5.8073 9.3616
angles: 83.89 75.76 64.96
Positions (direct):
K 0.0000 0.0000 0.0000
Ca 0.6189 0.5390 0.6185
Ni 0.1262 0.5875 0.4115
Ni 0.5654 0.1243 0.4156
H 0.0357 0.0584 0.4514
H 0.2338 0.1965 0.2624
H 0.8504 0.0233 0.6180
Se 0.4069 0.2973 0.8780
Se 0.6548 0.5920 0.2242
O 0.2117 0.2202 0.3682
O 0.3235 0.7289 0.2426
O 0.3571 0.6124 0.8414
O 0.3659 0.4270 0.5378
O 0.4579 0.2372 0.0493
O 0.7264 0.7236 0.3629
O 0.7366 0.1666 0.7592
O 0.7679 0.2776 0.2568
O 0.8147 0.6410 0.0627
O 0.9170 0.9679 0.5054

Top 10 peaks for 2θ = 15–90°, by intensity:
2θ (°), I_rel
19.53, 100
24.09, 91
30.00, 78
23.27, 78
17.60, 58
31.51, 55
25.91, 51
16.85, 48
34.77, 40
18.70, 36

# 3
Diffraction record for SrCaFeP2O8. The powder diffraction line list is calculated, not measured: it uses a crystal structure in the Materials Project, relaxed with PBE+U and CuKα.
Peak positions follow from Bragg's law for the DFT cell and can differ from measured ones.

abc: 5.7303 6.9645 9.5777
angles: 109.34 101.50 98.28
Positions (direct):
Sr 0.2308 0.1918 0.4400
Sr 0.7692 0.8082 0.5600
Ca 0.4906 0.5808 0.8372
Ca 0.5094 0.4192 0.1628
Fe 0.1340 0.8469 0.0573
Fe 0.8660 0.1531 0.9427
P 0.1137 0.5852 0.2772
P 0.3421 0.0340 0.7982
P 0.6579 0.9660 0.2018
P 0.8863 0.4148 0.7228
O 0.0815 0.4139 0.1146
O 0.1123 0.4535 0.6628
O 0.1340 0.9623 0.8670
O 0.1526 0.8017 0.2637
O 0.2370 0.0021 0.6298
O 0.3495 0.5615 0.3784
O 0.4559 0.0964 0.1899
O 0.4766 0.2663 0.9022
O 0.5234 0.7337 0.0978
O 0.5441 0.9036 0.8101
O 0.6505 0.4385 0.6216
O 0.7630 0.9979 0.3702
O 0.8474 0.1983 0.7363
O 0.8660 0.0377 0.1330
O 0.8877 0.5465 0.3372
O 0.9185 0.5861 0.8854

Top 10 peaks for 2θ = 15–90°, by intensity:
2θ (°), I_rel
27.80, 100
29.41, 64
30.79, 47
31.60, 44
32.76, 41
32.56, 29
57.44, 19
45.75, 17
30.46, 17
28.50, 17

# 4
Diffraction record for MgFe2O2F2. The powder diffraction line list is calculated, not measured: it uses a crystal structure in the Materials Project, relaxed with PBE+U and CuKα.
Peak positions follow from Bragg's law for the DFT cell and can differ from measured ones.

abc: 5.4082 3.0914 5.5387
angles: 90.00 101.22 90.00
Positions (direct):
Mg 0.0000 0.0000 0.0000
Fe 0.1836 0.5000 0.5139
Fe 0.4881 0.0000 0.0550
O 0.2196 0.0000 0.7420
O 0.2545 0.5000 0.1760
F 0.7481 0.5000 0.8866
F 0.8284 0.0000 0.2923

Top 10 peaks for 2θ = 15–90°, by intensity:
2θ (°), I_rel
33.35, 100
21.01, 72
45.04, 68
16.71, 68
35.99, 65
25.65, 55
16.32, 47
52.42, 43
59.12, 39
40.65, 38